1.
Computed PXRD pattern of Tm2SCl2 for Cu Ka, from DFT lattice parameters and positions (PBE).

Peak list (8 most intense, 5 to 70 degrees two-theta, sorted by position)
| 2θ/deg | d_spacing | I/Imax |
| --- | --- | --- |
| 8.53 | 10.365 | 100 |
| 27.41 | 3.254 | 13 |
| 29.38 | 3.040 | 13 |
| 30.37 | 2.943 | 12 |
| 33.33 | 2.688 | 16 |
| 33.90 | 2.645 | 30 |
| 47.44 | 1.916 | 17 |
| 49.09 | 1.856 | 10 |

```
data_Tm2SCl2
_space_group_name_H-M_alt 'C 1 2/m 1'
_space_group_IT_number 12
_cell_length_a 6.6377
_cell_length_b 3.8340
_cell_length_c 10.6513
_cell_angle_alpha 90.00
_cell_angle_beta 103.31
_cell_angle_gamma 90.00
loop_
_space_group_symop_operation_xyz
'x,y,z'
'-x,-y,-z'
'-x,y,-z'
'x,-y,z'
'x+1/2,y+1/2,z'
'-x+1/2,-y+1/2,-z'
'-x+1/2,y+1/2,-z'
'x+1/2,-y+1/2,z'
loop_
_atom_site_label
_atom_site_type_symbol
_atom_site_fract_x
_atom_site_fract_y
_atom_site_fract_z
Tm1 Tm 0.2177 0.0000 0.1383
S1 S 0.0000 0.5000 0.0000
Cl1 Cl 0.0568 0.0000 0.7024
```

***

2.
Computed PXRD pattern of US2Cl5 for Cu Ka, from DFT lattice parameters and positions (PBE).

Peak list (8 most intense, 5 to 70 degrees two-theta, sorted by position)
| 2θ/deg | d_spacing | I/Imax |
| --- | --- | --- |
| 11.32 | 7.816 | 100 |
| 14.78 | 5.992 | 40 |
| 18.05 | 4.916 | 35 |
| 18.45 | 4.810 | 27 |
| 18.71 | 4.744 | 28 |
| 22.75 | 3.908 | 43 |
| 23.92 | 3.721 | 22 |
| 34.62 | 2.591 | 26 |

```
data_US2Cl5
_space_group_name_H-M_alt 'P 1'
_space_group_IT_number 1
_cell_length_a 5.3904
_cell_length_b 8.3194
_cell_length_c 8.3284
_cell_angle_alpha 92.08
_cell_angle_beta 108.33
_cell_angle_gamma 108.19
loop_
_space_group_symop_operation_xyz
'x,y,z'
loop_
_atom_site_label
_atom_site_type_symbol
_atom_site_fract_x
_atom_site_fract_y
_atom_site_fract_z
U1 U 0.0000 0.0000 0.0000
S1 S 0.1674 0.5648 0.4797
S2 S 0.8407 0.4339 0.5186
Cl1 Cl 0.1631 0.0192 0.3170
Cl2 Cl 0.1677 0.3173 0.0284
Cl3 Cl 0.5000 0.9999 0.0001
Cl4 Cl 0.8321 0.6827 0.9716
Cl5 Cl 0.8366 0.9808 0.6831
```